Calculated powder XRD pattern of K2LiAsBr6 for CuKα, from a structure optimized by DFT (PBE).

Structure:
Cell lengths 8.233, 8.233, 8.233 Å; angles 56.07, 56.07, 56.07 degrees
Atoms (fractional coordinates):
K1 0.000 0.000 0.000
K2 0.495 0.495 0.495
Li1 0.782 0.782 0.782
As1 0.209 0.209 0.209
Br1 0.055 0.866 0.436
Br2 0.343 0.510 0.971
Br3 0.436 0.055 0.866
Br4 0.510 0.971 0.343
Br5 0.866 0.436 0.055
Br6 0.971 0.343 0.510

The 10 most intense peaks (2θ = 10–90°), in order of rising 2θ:
| two_theta | I_rel |
| --- | --- |
| 13.89 | 33 |
| 15.74 | 29 |
| 25.77 | 27 |
| 26.39 | 100 |
| 27.98 | 35 |
| 31.79 | 48 |
| 34.80 | 41 |
| 41.78 | 22 |
| 45.82 | 28 |
| 49.21 | 25 |

***

Calculated powder XRD pattern of CsAcBi4 for CuKα, from a structure optimized by DFT (PBE).

Structure:
Cell lengths 6.794, 6.794, 6.794 Å; angles 60.00, 60.00, 60.00 degrees
Atoms (fractional coordinates):
Cs1 0.000 0.000 0.000
Ac1 0.750 0.750 0.750
Bi1 0.376 0.376 0.376
Bi2 0.376 0.376 0.873
Bi3 0.376 0.873 0.376
Bi4 0.873 0.376 0.376

The 10 most intense peaks (2θ = 10–90°), in order of rising 2θ:
| two_theta | I_rel |
| --- | --- |
| 15.98 | 11 |
| 26.23 | 21 |
| 30.86 | 100 |
| 32.27 | 47 |
| 49.28 | 37 |
| 53.98 | 34 |
| 63.49 | 13 |
| 64.31 | 20 |
| 76.09 | 24 |
| 88.02 | 14 |